Starting from a GGA-PBE-relaxed structure, the powder diffractogram of Li3Ag2SnBr8 was simulated for Cu Kα (λ = 1.5418 Å).
Neutral-atom scattering factors, no anomalous dispersion.

Atomic structure:
Unit cell a=8.4824 b=8.4824 c=18.9669 alpha=90.00 beta=90.00 gamma=120.00
Space group R3m (No. 160, hexagonal axes)
Unique sites:
Li (0.0509, 0.5254, 0.0000)
Ag (0.0000, 0.0000, 0.1018)
Ag (0.0000, 0.0000, 0.5061)
Sn (0.0000, 0.0000, 0.9376)
Br (0.0000, 0.0000, 0.2494)
Br (0.0000, 0.0000, 0.8009)
Br (0.0462, 0.5231, 0.2714)
Br (0.1822, 0.3645, 0.0813)

Main lines, in order of rising 2θ (10° ≤ 2θ ≤ 90°):
2theta  Rel. int.  hkl
15.26  80  0 1 2
20.95  100  1 1 0
25.29  45  1 1 3
26.02  61  2 0 2
28.23  48  0 0 6
30.79  98  0 2 4
35.31  42  1 0 7
42.64  100  2 2 0
46.86  81  2 1 7
51.92  40  2 2 6



Starting from a GGA-PBE-relaxed structure, the powder diffractogram of Sc2CuTcH was simulated for Cu Kα (λ = 1.5418 Å).
Neutral-atom scattering factors, no anomalous dispersion.

Atomic structure:
Unit cell a=4.5880 b=4.5880 c=3.4328 alpha=90.00 beta=90.00 gamma=90.00
Space group P4/mmm (No. 123)
Unique sites:
Sc (0.0000, 0.5000, 0.0000)
Cu (0.0000, 0.0000, 0.5000)
Tc (0.5000, 0.5000, 0.5000)
H (0.5000, 0.5000, 0.0000)

Main lines, in order of rising 2θ (10° ≤ 2θ ≤ 90°):
2theta  Rel. int.  hkl
25.96  6  0 0 1
27.49  12  1 1 0
38.17  100  1 1 1
39.27  47  2 0 0
47.68  5  2 0 1
53.38  9  0 0 2
56.75  15  2 2 0
68.24  16  2 0 2
70.46  30  3 1 1
81.68  10  2 2 2



Starting from a GGA-PBE-relaxed structure, the powder diffractogram of LaSc3 was simulated for Cu Kα (λ = 1.5418 Å).
Neutral-atom scattering factors, no anomalous dispersion.

Atomic structure:
Unit cell a=3.3927 b=3.3927 c=32.5555 alpha=90.00 beta=90.00 gamma=120.00
Space group R-3m (No. 166, hexagonal axes)
Unique sites:
La (0.0000, 0.0000, 0.0000)
Sc (0.0000, 0.0000, 0.2458)
Sc (0.0000, 0.0000, 0.5000)

Main lines, in order of rising 2θ (10° ≤ 2θ ≤ 90°):
2theta  Rel. int.  hkl
16.34  20  0 0 6
30.55  14  1 0 1
30.93  13  0 1 2
32.40  100  1 0 4
33.02  31  0 0 12
33.46  13  0 1 5
37.76  64  0 1 8
54.06  22  1 1 0
54.89  20  1 0 16
64.82  24  1 1 12



Starting from a GGA-PBE-relaxed structure, the powder diffractogram of PrRe4O12 was simulated for Cu Kα (λ = 1.5418 Å).
Neutral-atom scattering factors, no anomalous dispersion.

Atomic structure:
Unit cell a=7.7111 b=7.7111 c=7.7111 alpha=90.00 beta=90.00 gamma=90.00
Space group Im-3m (No. 229)
Unique sites:
Pr (0.0000, 0.0000, 0.0000)
Re (0.2500, 0.2500, 0.2500)
O (0.0000, 0.2445, 0.2445)

Main lines, in order of rising 2θ (10° ≤ 2θ ≤ 90°):
2theta  Rel. int.  hkl
16.26  19  1 1 0
23.07  82  2 0 0
32.85  100  2 2 0
40.53  9  2 2 2
47.14  31  4 0 0
53.12  34  4 2 0
58.65  40  4 2 2
68.88  19  4 4 0
73.72  16  4 4 2
78.44  18  6 2 0



What did the fourth record say?
Starting from a GGA-PBE-relaxed structure, the powder diffractogram of PrRe4O12 was simulated for Cu Kα (λ = 1.5418 Å).
Neutral-atom scattering factors, no anomalous dispersion.

Atomic structure:
Unit cell a=7.7111 b=7.7111 c=7.7111 alpha=90.00 beta=90.00 gamma=90.00
Space group Im-3m (No. 229)
Unique sites:
Pr (0.0000, 0.0000, 0.0000)
Re (0.2500, 0.2500, 0.2500)
O (0.0000, 0.2445, 0.2445)

Main lines, in order of rising 2θ (10° ≤ 2θ ≤ 90°):
2theta  Rel. int.  hkl
16.26  19  1 1 0
23.07  82  2 0 0
32.85  100  2 2 0
40.53  9  2 2 2
47.14  31  4 0 0
53.12  34  4 2 0
58.65  40  4 2 2
68.88  19  4 4 0
73.72  16  4 4 2
78.44  18  6 2 0